(1)
For Rb3SbS3, a DFT-relaxed cell (PBE, the Materials Project) gives the computed PXRD pattern in this record (Cu Kα (λ = 1.5418 Å)).
Intensities are scaled so that the largest is 100.

```
28
Lattice="10.014 0.000 0.000 0.000 10.014 0.000 0.000 0.000 10.014" Properties=species:S:1:pos:R:3 pbc="T T T"
Rb 0.588 0.588 0.588
Rb 0.627 9.387 4.380
Rb 1.790 3.217 6.797
Rb 3.217 6.797 1.790
Rb 4.380 0.627 9.387
Rb 4.420 9.427 5.595
Rb 5.595 4.420 9.427
Rb 5.634 5.634 5.634
Rb 6.797 1.790 3.217
Rb 8.224 8.224 8.224
Rb 9.387 4.380 0.627
Rb 9.427 5.595 4.420
Sb 2.243 7.250 7.771
Sb 2.764 2.764 2.764
Sb 7.250 7.771 2.243
Sb 7.771 2.243 7.250
S 0.416 2.562 3.460
S 1.547 9.598 7.569
S 2.445 6.554 5.423
S 2.562 3.460 0.416
S 3.460 0.416 2.562
S 4.591 7.452 8.467
S 5.423 2.445 6.554
S 6.554 5.423 2.445
S 7.452 8.467 4.591
S 7.569 1.547 9.598
S 8.467 4.591 7.452
S 9.598 7.569 1.547
```

Main lines, by angle (15 to 90 degrees two-theta):
d (Å)	I_rel
5.782	19.5
3.541	66.0
3.167	100.0
2.676	51.8
2.044	19.9
1.964	41.1
1.927	15.0
1.545	15.2

=====

(2)
For SnS, a DFT-relaxed cell (PBE, the Materials Project) gives the computed PXRD pattern in this record (Cu Kα (λ = 1.5418 Å)).
Intensities are scaled so that the largest is 100.

```
4
Lattice="22.774 0.000 0.000 0.000 2.912 2.943 0.000 -2.912 2.943" Properties=species:S:1:pos:R:3 pbc="T T T"
Sn 1.468 -1.456 2.943
Sn 21.306 1.456 2.943
S 1.105 1.456 3.155
S 21.669 -1.456 3.155
```

Main lines, by angle (15 to 90 degrees two-theta):
d (Å)	I_rel
3.891	59.9
3.635	82.2
3.349	71.6
2.916	100.0
2.889	63.0
2.848	66.5
2.062	46.1
2.036	50.5

=====

(3)
For SrSm2BeO5, a DFT-relaxed cell (PBE, the Materials Project) gives the computed PXRD pattern in this record (Cu Kα (λ = 1.5418 Å)).
Intensities are scaled so that the largest is 100.

```
36
Lattice="9.555 0.000 0.000 0.000 6.558 0.000 0.000 0.000 7.202" Properties=species:S:1:pos:R:3 pbc="T T T"
Sr 1.673 0.547 0.000
Sr 3.105 3.826 3.601
Sr 6.450 2.732 0.000
Sr 7.883 6.011 3.601
Sm 0.210 3.902 5.508
Sm 1.656 0.477 3.925
Sm 3.122 3.756 0.324
Sm 4.568 0.623 1.907
Sm 4.987 5.935 5.508
Sm 6.433 2.802 3.925
Sm 7.899 6.081 0.324
Sm 9.345 2.656 1.907
Be 0.965 5.294 1.927
Be 3.812 2.015 5.529
Be 5.743 4.543 1.927
Be 8.590 1.264 5.529
O 0.093 0.135 1.934
O 0.644 4.556 3.323
O 0.677 4.483 0.543
O 2.112 2.216 1.911
O 2.149 2.400 5.536
O 2.629 5.679 1.934
O 2.666 5.495 5.512
O 4.100 1.204 4.145
O 4.133 1.277 6.924
O 4.684 3.414 5.536
O 4.871 3.144 1.934
O 5.422 5.281 3.323
O 5.455 5.354 0.543
O 6.889 1.063 1.911
O 6.926 0.879 5.536
O 7.406 4.158 1.934
O 7.443 4.342 5.512
O 8.878 2.075 4.145
O 8.911 2.002 6.924
O 9.462 6.423 5.536
```

Main lines, by angle (15 to 90 degrees two-theta):
d (Å)	I_rel
3.101	38.8
2.997	91.4
2.876	67.6
2.865	100.0
2.849	45.5
2.350	44.9
2.243	36.8
1.990	33.7

=====

(4)
For Tb3Ge13Ir4, a DFT-relaxed cell (PBE, the Materials Project) gives the computed PXRD pattern in this record (Cu Kα (λ = 1.5418 Å)).
Intensities are scaled so that the largest is 100.

```
40
Lattice="9.056 0.000 0.000 0.000 9.056 0.000 0.000 0.000 9.056" Properties=species:S:1:pos:R:3 pbc="T T T"
Tb 0.000 2.264 4.528
Tb 0.000 6.792 4.528
Tb 2.264 4.528 0.000
Tb 4.528 0.000 2.264
Tb 4.528 0.000 6.792
Tb 6.792 4.528 0.000
Ge 0.000 0.000 0.000
Ge 0.000 2.795 1.323
Ge 0.000 2.795 7.733
Ge 0.000 6.261 1.323
Ge 0.000 6.261 7.733
Ge 1.323 0.000 2.795
Ge 1.323 0.000 6.261
Ge 1.733 4.528 3.205
Ge 1.733 4.528 5.851
Ge 2.795 1.323 0.000
Ge 2.795 7.733 0.000
Ge 3.205 1.733 4.528
Ge 3.205 7.323 4.528
Ge 4.528 3.205 1.733
Ge 4.528 3.205 7.323
Ge 4.528 4.528 4.528
Ge 4.528 5.851 1.733
Ge 4.528 5.851 7.323
Ge 5.851 1.733 4.528
Ge 5.851 7.323 4.528
Ge 6.261 1.323 0.000
Ge 6.261 7.733 0.000
Ge 7.323 4.528 3.205
Ge 7.323 4.528 5.851
Ge 7.733 0.000 2.795
Ge 7.733 0.000 6.261
Ir 2.264 2.264 2.264
Ir 2.264 2.264 6.792
Ir 2.264 6.792 2.264
Ir 2.264 6.792 6.792
Ir 6.792 2.264 2.264
Ir 6.792 2.264 6.792
Ir 6.792 6.792 2.264
Ir 6.792 6.792 6.792
```

Main lines, by angle (15 to 90 degrees two-theta):
d (Å)	I_rel
4.528	47.1
2.614	55.3
2.512	100.0
2.420	40.5
2.264	54.8
2.025	40.7
1.849	53.0
1.365	39.7

=====

(5)
For EuBi2S4, a DFT-relaxed cell (PBE, the Materials Project) gives the computed PXRD pattern in this record (Cu Kα (λ = 1.5418 Å)).
Intensities are scaled so that the largest is 100.

```
28
Lattice="11.685 0.000 0.000 0.000 4.085 0.000 0.000 0.000 14.647" Properties=species:S:1:pos:R:3 pbc="T T T"
Eu 2.786 1.021 2.225
Eu 3.057 3.064 9.549
Eu 8.628 1.021 5.098
Eu 8.899 3.064 12.422
Bi 0.780 3.064 5.751
Bi 1.226 3.064 13.170
Bi 4.616 1.021 5.847
Bi 5.062 1.021 13.074
Bi 6.623 3.064 1.573
Bi 7.069 3.064 8.800
Bi 10.458 1.021 1.476
Bi 10.904 1.021 8.896
S 0.148 3.064 10.449
S 0.723 3.064 1.294
S 1.967 1.021 7.533
S 2.763 1.021 11.722
S 3.080 3.064 4.399
S 3.876 3.064 0.210
S 5.120 1.021 8.618
S 5.694 1.021 3.125
S 5.991 3.064 11.522
S 6.565 3.064 6.029
S 7.809 1.021 14.437
S 8.605 1.021 10.248
S 8.922 3.064 2.925
S 9.718 3.064 7.114
S 10.962 1.021 13.353
S 11.537 1.021 4.198
```

Main lines, by angle (15 to 90 degrees two-theta):
d (Å)	I_rel
3.662	51.0
3.439	100.0
3.412	86.8
3.348	46.6
2.471	41.8
2.377	35.8
2.043	27.4
1.756	32.0

=====

(6)
For HoMnFe, a DFT-relaxed cell (PBE, the Materials Project) gives the computed PXRD pattern in this record (Cu Kα (λ = 1.5418 Å)).
Intensities are scaled so that the largest is 100.

```
6
Lattice="-2.528 2.585 3.608 2.528 -2.585 3.608 2.528 2.585 -3.608" Properties=species:S:1:pos:R:3 pbc="T T T"
Ho 0.000 1.292 0.891
Ho 2.528 1.292 2.717
Mn 2.528 0.000 0.000
Mn 0.000 0.000 3.608
Fe 1.264 1.292 -1.804
Fe 1.264 -1.292 1.804
```

Main lines, by angle (15 to 90 degrees two-theta):
d (Å)	I_rel
2.585	26.8
2.554	100.0
2.528	23.4
2.193	72.0
2.181	37.6
2.172	33.2
2.166	70.2
1.277	30.9

=====

(7)
For DyYRh2, a DFT-relaxed cell (PBE, the Materials Project) gives the computed PXRD pattern in this record (Cu Kα (λ = 1.5418 Å)).
Intensities are scaled so that the largest is 100.

```
4
Lattice="0.000 3.438 3.438 3.438 0.000 3.438 3.438 3.438 0.000" Properties=species:S:1:pos:R:3 pbc="T T T"
Dy 0.000 0.000 0.000
Y 3.438 3.438 3.438
Rh 1.719 1.719 1.719
Rh 5.157 5.157 5.157
```

Main lines, by angle (15 to 90 degrees two-theta):
d (Å)	I_rel
3.970	5.2
2.431	100.0
2.073	2.9
1.719	17.3
1.578	1.3
1.404	34.8
1.216	10.8
1.162	1.0

=====

(8)
For Na4Sr2TiP4, a DFT-relaxed cell (PBE, the Materials Project) gives the computed PXRD pattern in this record (Cu Kα (λ = 1.5418 Å)).
Intensities are scaled so that the largest is 100.

```
22
Lattice="4.676 -8.149 0.000 4.676 8.149 0.000 -0.070 0.000 7.439" Properties=species:S:1:pos:R:3 pbc="T T T"
Na 4.641 7.031 3.720
Na 5.573 4.344 1.340
Na 5.596 1.205 0.178
Na 7.517 2.263 3.837
Na 5.561 -1.205 3.898
Na 5.538 -4.344 5.059
Na 4.676 -7.031 0.000
Na 7.552 -2.263 0.117
Sr 2.696 0.478 5.074
Sr 4.678 3.891 5.088
Sr 2.731 -0.478 1.355
Sr 4.713 -3.891 1.368
Ti 2.845 2.738 2.161
Ti 2.810 -2.738 5.881
P 2.735 2.672 7.198
P 5.462 6.589 6.594
P 4.748 1.547 3.006
P 2.770 -2.672 3.478
P 4.713 -1.547 6.726
P 7.418 3.154 6.637
P 7.453 -3.154 2.918
P 5.497 -6.589 2.875
```

Main lines, by angle (15 to 90 degrees two-theta):
d (Å)	I_rel
5.504	41.3
2.844	97.9
2.750	100.0
2.730	53.6
2.550	29.3
2.375	38.4
2.349	61.2
2.338	28.6

=====

(9)
For BaCaCeSnO6, a DFT-relaxed cell (PBE, the Materials Project) gives the computed PXRD pattern in this record (Cu Kα (λ = 1.5418 Å)).
Intensities are scaled so that the largest is 100.

```
10
Lattice="0.000 4.285 4.285 4.285 0.000 4.285 4.285 4.285 0.000" Properties=species:S:1:pos:R:3 pbc="T T T"
Ba 0.000 0.000 0.000
Ca 4.285 4.285 4.285
Ce 6.427 6.427 6.427
Sn 2.142 2.142 2.142
O 2.142 2.142 0.070
O 2.142 0.070 2.142
O 4.214 2.142 2.142
O 0.070 2.142 2.142
O 2.142 4.214 2.142
O 2.142 2.142 4.214
```

Main lines, by angle (15 to 90 degrees two-theta):
d (Å)	I_rel
4.947	10.8
4.285	10.9
3.030	100.0
2.142	32.7
1.749	41.1
1.515	20.4
1.355	18.2
1.145	22.0